Structure and calculated XRD peak list of Ce3In2Pb3 (a cell relaxed with GGA-PBE; Cu Kα X-rays).

The 10 most intense peaks (2θ from 10° to 90°), sorted by position:
2θ/deg, I_rel
31.96, 100
34.37, 20
37.59, 16
39.11, 15
51.84, 13
53.03, 12
60.05, 15
64.32, 14
66.40, 12
66.81, 12

Atomic structure:
```
data_Ce3In2Pb3
_chemical_formula_sum 'Ce6 In4 Pb6'
_cell_length_a 4.607
_cell_length_b 4.786
_cell_length_c 20.875
_cell_angle_alpha 90.00
_cell_angle_beta 90.00
_cell_angle_gamma 90.00
_symmetry_space_group_name_H-M 'I m m m'
_symmetry_Int_Tables_number 71
_symmetry_space_group_name_Hall '-I 2 2'
loop_
_atom_site_label
_atom_site_fract_x
_atom_site_fract_y
_atom_site_fract_z
Ce1 0.000 0.000 0.000
Ce2 0.000 0.500 0.368
In1 0.000 0.000 0.254
Pb1 0.000 0.000 0.500
Pb2 0.000 0.500 0.122
```